1.
For Fe30Pd23, DFT lattice parameters and positions (PBE) gives the theoretical PXRD pattern in this record (a wavelength of 1.5418 Å).
Lines closer than 0.1° are merged.

Structural model:
Cell: 11.3500 11.3500 19.2687 Å, 90.00 90.00 120.00°
Space group R-3 (No. 148, hexagonal axes)
Asymmetric unit:
1 Fe 0.0204 0.8858 0.2001 x18
2 Fe 0.0304 0.8088 0.7308 x18
3 Fe 0.0455 0.7759 0.1029 x18
4 Fe 0.0607 0.8597 0.5970 x18
5 Fe 0.0872 0.2465 0.0029 x18
6 Pd 0.0000 0.0000 0.0739 x6
7 Pd 0.0000 0.0000 0.3213 x6
8 Pd 0.0000 0.0000 0.5000 x3
9 Pd 0.0285 0.7694 0.3191 x18
10 Pd 0.0506 0.7878 0.8760 x18
11 Pd 0.0620 0.5579 0.1305 x18

The 10 most intense peaks (2θ from 10° to 90°), in order of rising 2θ:
2θ (°)	d/Å	intensity	(hkl)
40.53	2.226	70	3 1 5
40.80	2.212	100	3 -1 7
41.11	2.196	68	2 3 2
42.14	2.145	95	4 1 0
43.69	2.072	53	0 4 5
44.35	2.042	33	5 -2 4
44.53	2.034	23	5 -1 3
44.85	2.021	48	1 2 8
72.64	1.302	24	7 1 0
76.99	1.238	22	5 -2 13

***

2.
For Fe3Pd3Pt2, DFT lattice parameters and positions (PBE) gives the theoretical PXRD pattern in this record (a wavelength of 1.5418 Å).
Lines closer than 0.1° are merged.

Structural model:
Cell: 7.5321 7.8959 3.8642 Å, 90.00 90.00 90.00°
Space group Cmmm (No. 65)
Asymmetric unit:
1 Fe 0.0000 0.0000 0.0000 x2
2 Fe 0.0000 0.2523 0.5000 x4
3 Pd 0.0000 0.5000 0.0000 x2
4 Pd 0.2368 0.0000 0.5000 x4
5 Pt 0.2500 0.2500 0.0000 x4

The 10 most intense peaks (2θ from 10° to 90°), in order of rising 2θ:
2θ (°)	d/Å	intensity	(hkl)
23.62	3.766	12	2 0 0
32.42	2.762	12	0 2 1
40.51	2.227	100	2 2 1
45.98	1.974	17	0 4 0
47.03	1.932	16	0 0 2
48.34	1.883	15	4 0 0
67.88	1.381	11	0 4 2
81.36	1.183	13	2 6 1
82.90	1.165	12	2 2 3
84.84	1.143	11	6 2 1

***

3.
For Fe3Re3Pd2, DFT lattice parameters and positions (PBE) gives the theoretical PXRD pattern in this record (a wavelength of 1.5418 Å).
Lines closer than 0.1° are merged.

Structural model:
Cell: 4.2704 5.4510 9.3537 Å, 90.00 90.00 90.00°
Space group Amm2 (No. 38)
Asymmetric unit:
1 Fe 0.0000 0.0000 0.0000 x2
2 Fe 0.5000 0.2303 0.0778 x4
3 Re 0.0000 0.2392 0.2312 x4
4 Re 0.5000 0.0000 0.3164 x2
5 Pd 0.0000 0.0000 0.4929 x2
6 Pd 0.5000 0.0000 0.8278 x2

The 10 most intense peaks (2θ from 10° to 90°), in order of rising 2θ:
2θ (°)	d/Å	intensity	(hkl)
18.98	4.677	31	0 0 2
38.22	2.355	29	0 2 2
39.21	2.297	15	1 2 0
42.33	2.135	39	2 0 0
43.91	2.062	100	1 2 2
44.16	2.051	53	1 0 4
58.34	1.582	16	2 2 2
69.46	1.353	16	0 2 6
78.52	1.218	18	3 2 2
84.83	1.143	19	2 2 6

***

4.
For RbPrFeTe3, DFT lattice parameters and positions (PBE) gives the theoretical PXRD pattern in this record (a wavelength of 1.5418 Å).
Lines closer than 0.1° are merged.

Structural model:
Cell: 10.7870 4.6012 16.7864 Å, 90.00 90.00 90.00°
Space group Pnma (No. 62)
Asymmetric unit:
1 Rb 0.0472 0.2500 0.1727 x4
2 Pr 0.1663 0.7500 0.4401 x4
3 Fe 0.1535 0.2500 0.6259 x4
4 Te 0.0275 0.7500 0.6121 x4
5 Te 0.1685 0.7500 0.0185 x4
6 Te 0.2153 0.2500 0.7725 x4

The 10 most intense peaks (2θ from 10° to 90°), in order of rising 2θ:
2θ (°)	d/Å	intensity	(hkl)
26.00	3.427	100	2 1 1
26.93	3.310	51	2 0 4
27.61	3.231	74	2 1 2
27.83	3.206	37	1 0 5
33.04	2.711	50	0 1 5
33.37	2.685	21	3 1 2
39.15	2.301	43	0 2 0
42.06	2.148	22	4 1 3
43.36	2.087	30	1 1 7
48.17	1.889	20	2 2 4

***

5.
For RbPrFeTe3, DFT lattice parameters and positions (PBE) gives the theoretical PXRD pattern in this record (a wavelength of 1.5418 Å).
Lines closer than 0.1° are merged.

Structural model:
Cell: 11.9598 4.4854 16.3544 Å, 90.00 90.00 90.00°
Space group Pnma (No. 62)
Asymmetric unit:
1 Rb 0.2231 0.2500 0.0056 x4
2 Pr 0.0151 0.7500 0.2572 x4
3 Fe 0.2361 0.7500 0.7818 x4
4 Te 0.0536 0.7500 0.8718 x4
5 Te 0.0926 0.2500 0.3825 x4
6 Te 0.2381 0.2500 0.6865 x4

The 10 most intense peaks (2θ from 10° to 90°), in order of rising 2θ:
2θ (°)	d/Å	intensity	(hkl)
10.82	8.177	79	0 0 2
24.85	3.584	60	3 0 2
25.72	3.464	64	0 1 3
26.80	3.327	100	1 1 3
29.83	2.995	67	4 0 0
30.50	2.931	28	3 1 1
37.21	2.416	69	2 1 5
40.21	2.243	39	0 2 0
40.97	2.203	25	3 1 5
49.58	1.839	23	3 1 7

***

6.
For PrTlFeSe3, DFT lattice parameters and positions (PBE) gives the theoretical PXRD pattern in this record (a wavelength of 1.5418 Å).
Lines closer than 0.1° are merged.

Structural model:
Cell: 11.6283 4.3479 12.6685 Å, 90.00 90.00 90.00°
Space group Pnma (No. 62)
Asymmetric unit:
1 Pr 0.0205 0.2500 0.1725 x4
2 Tl 0.1684 0.2500 0.5054 x4
3 Fe 0.2462 0.2500 0.7940 x4
4 Se 0.0514 0.7500 0.3336 x4
5 Se 0.1117 0.2500 0.9419 x4
6 Se 0.2146 0.7500 0.7022 x4

The 10 most intense peaks (2θ from 10° to 90°), in order of rising 2θ:
2θ (°)	d/Å	intensity	(hkl)
24.01	3.706	46	3 0 1
25.58	3.482	37	2 1 0
26.02	3.425	36	1 1 2
29.27	3.051	85	2 1 2
30.49	2.931	100	1 1 3
32.18	2.781	27	2 0 4
33.93	2.642	44	4 0 2
34.07	2.632	31	3 1 2
35.92	2.500	37	1 1 4
41.54	2.174	50	0 2 0

***

7.
For PrSmFe2Si2, DFT lattice parameters and positions (PBE) gives the theoretical PXRD pattern in this record (a wavelength of 1.5418 Å).
Lines closer than 0.1° are merged.

Structural model:
Cell: 4.0528 4.0528 6.8210 Å, 90.00 90.00 90.00°
Space group P4mm (No. 99)
Asymmetric unit:
1 Pr 0.0000 0.0000 0.0000 x1
2 Sm 0.5000 0.5000 0.3642 x1
3 Fe 0.0000 0.5000 0.6742 x2
4 Si 0.0000 0.0000 0.5077 x1
5 Si 0.5000 0.5000 0.8409 x1

The 10 most intense peaks (2θ from 10° to 90°), in order of rising 2θ:
2θ (°)	d/Å	intensity	(hkl)
25.57	3.484	100	1 0 1
31.21	2.866	35	1 1 0
33.93	2.642	47	1 1 1
34.37	2.609	74	1 0 2
41.14	2.194	70	1 1 2
44.72	2.026	52	2 0 0
52.22	1.752	29	2 1 1
57.59	1.600	33	2 1 2
58.74	1.572	25	1 0 4
76.74	1.242	22	2 1 4

***

8.
For TbPrFe2Si4, DFT lattice parameters and positions (PBE) gives the theoretical PXRD pattern in this record (a wavelength of 1.5418 Å).
Lines closer than 0.1° are merged.

Structural model:
Cell: 4.3150 4.0023 8.0325 Å, 90.00 103.56 90.00°
Space group Pm (No. 6)
Asymmetric unit:
1 Tb 0.0000 0.0000 0.0000 x1
2 Pr 0.2051 0.5000 0.4114 x1
3 Fe 0.4891 0.5000 0.8191 x1
4 Fe 0.7231 0.0000 0.6014 x1
5 Si 0.2799 0.0000 0.7070 x1
6 Si 0.5593 0.5000 0.1075 x1
7 Si 0.6481 0.0000 0.3029 x1
8 Si 0.9323 0.5000 0.7165 x1

The 10 most intense peaks (2θ from 10° to 90°), in order of rising 2θ:
2θ (°)	d/Å	intensity	(hkl)
25.00	3.562	53	0 1 1
30.88	2.896	51	1 1 0
31.16	2.871	70	1 1 -1
32.03	2.795	46	0 1 2
34.74	2.582	100	1 1 1
34.87	2.573	49	1 0 2
35.48	2.530	53	1 1 -2
36.09	2.488	62	1 0 -3
41.38	2.182	60	0 1 3
45.32	2.001	49	0 2 0

***

9.
For PrYFe2Si2, DFT lattice parameters and positions (PBE) gives the theoretical PXRD pattern in this record (a wavelength of 1.5418 Å).
Lines closer than 0.1° are merged.

Structural model:
Cell: 4.0466 4.0466 6.7689 Å, 90.00 90.00 90.00°
Space group P4mm (No. 99)
Asymmetric unit:
1 Pr 0.0000 0.0000 0.0000 x1
2 Y 0.5000 0.5000 0.3662 x1
3 Fe 0.0000 0.5000 0.6685 x2
4 Si 0.0000 0.0000 0.5002 x1
5 Si 0.5000 0.5000 0.8379 x1

The 10 most intense peaks (2θ from 10° to 90°), in order of rising 2θ:
2θ (°)	d/Å	intensity	(hkl)
25.65	3.473	100	1 0 1
31.26	2.861	33	1 1 0
34.02	2.636	67	1 1 1
34.55	2.596	88	1 0 2
41.32	2.185	94	1 1 2
44.79	2.023	68	2 0 0
52.33	1.748	29	2 1 1
57.77	1.596	39	2 1 2
59.18	1.561	28	1 0 4
77.17	1.236	25	2 1 4

***

10.
For Pr6TlFe13, DFT lattice parameters and positions (PBE) gives the theoretical PXRD pattern in this record (a wavelength of 1.5418 Å).
Lines closer than 0.1° are merged.

Structural model:
Cell: 8.0364 8.0364 23.6632 Å, 90.00 90.00 90.00°
Space group I4/mcm (No. 140)
Asymmetric unit:
1 Pr 0.0000 0.0000 0.1046 x8
2 Pr 0.1635 0.3365 0.1840 x16
3 Tl 0.0000 0.0000 0.2500 x4
4 Fe 0.0000 0.5000 0.0000 x4
5 Fe 0.0668 0.2100 0.5000 x16
6 Fe 0.1128 0.3872 0.4076 x16
7 Fe 0.1787 0.3213 0.0577 x16

The 10 most intense peaks (2θ from 10° to 90°), in order of rising 2θ:
2θ (°)	d/Å	intensity	(hkl)
27.27	3.270	74	2 1 3
27.53	3.240	36	1 1 6
31.25	2.862	69	2 1 5
31.49	2.841	37	2 2 0
31.79	2.815	50	2 0 6
34.17	2.624	45	1 1 8
35.32	2.541	100	3 1 0
37.77	2.382	71	2 0 8
42.61	2.122	48	2 1 9
46.76	1.943	37	4 1 1

***

11.
For Fe7Pt6, DFT lattice parameters and positions (PBE) gives the theoretical PXRD pattern in this record (a wavelength of 1.5418 Å).
Lines closer than 0.1° are merged.

Structural model:
Cell: 4.8333 4.8333 26.2085 Å, 90.00 90.00 120.00°
Space group R-3m (No. 166, hexagonal axes)
Asymmetric unit:
1 Fe 0.0000 0.0000 0.0000 x3
2 Fe 0.0020 0.5010 0.4101 x18
3 Pt 0.0000 0.0000 0.1667 x6
4 Pt 0.0000 0.0000 0.3459 x6
5 Pt 0.0000 0.0000 0.4511 x6

The 10 most intense peaks (2θ from 10° to 90°), in order of rising 2θ:
2θ (°)	d/Å	intensity	(hkl)
37.21	2.417	100	1 1 0
40.61	2.221	64	1 0 10
42.76	2.115	72	1 1 6
43.37	2.086	22	0 2 1
43.72	2.070	42	0 1 11
67.08	1.395	19	3 0 0
69.39	1.354	26	2 1 10
71.60	1.318	19	1 2 11
76.35	1.247	19	0 0 21
79.29	1.208	22	2 2 0